This entry pairs a crystal structure of LiMnF4 with its theoretical X-ray diffraction stick pattern. Radiation: Cu Kα, 1.54184 Å. Structure: a structure optimized by DFT (GGA+U).
Peak positions follow from Bragg's law for the DFT cell and can differ from measured ones.

Structure:
```
LiMnF4
1.0
7.024 0.000 0.000
-3.512 6.083 0.000
0.000 0.000 10.711
Li Mn F
6 6 24
direct
0.005 0.796 0.000
0.204 0.209 0.333
0.491 0.413 0.903
0.587 0.078 0.236
0.791 0.995 0.667
0.922 0.509 0.569
0.166 0.657 0.258
0.325 0.037 0.647
0.343 0.509 0.591
0.491 0.834 0.925
0.711 0.675 0.314
0.963 0.289 0.981
0.026 0.926 0.677
0.056 0.354 0.651
0.061 0.389 0.176
0.074 0.100 0.010
0.204 0.495 0.399
0.238 0.756 0.579
0.244 0.481 0.912
0.291 0.796 0.065
0.299 0.944 0.318
0.303 0.239 0.507
0.329 0.939 0.843
0.429 0.310 0.734
0.505 0.709 0.732
0.515 0.383 0.267
0.519 0.762 0.245
0.611 0.671 0.510
0.617 0.132 0.600
0.646 0.701 0.985
0.690 0.118 0.068
0.761 0.064 0.841
0.868 0.485 0.933
0.882 0.571 0.401
0.900 0.974 0.343
0.936 0.697 0.174
```

Peak list (10 most intense, 2θ from 5° to 70°, sorted by position)
hkl 1 0 0, 14.56 deg, 6.083 Å, rel. 412; hkl 0 1 1, 16.76 deg, 5.289 Å, rel. 1000; hkl 0 1 2, 22.11 deg, 4.020 Å, rel. 317; hkl 0 0 3, 24.94 deg, 3.570 Å, rel. 330; hkl 2 -1 1, 26.71 deg, 3.337 Å, rel. 229; hkl 1 1 2, 30.44 deg, 2.937 Å, rel. 197; hkl 0 2 1, 30.56 deg, 2.926 Å, rel. 385; hkl 3 -2 2, 42.80 deg, 2.113 Å, rel. 169; hkl 0 2 4, 45.11 deg, 2.010 Å, rel. 275; hkl 0 3 2, 47.98 deg, 1.896 Å, rel. 159